For LiSi2BiO6, DFT lattice parameters and positions (GGA-PBE) gives the computed powder XRD pattern in this record (a wavelength of 1.5418 Å).
Kinematic intensities with the Lorentz-polarization factor, no thermal factor.

```
LiSi2BiO6
1.0
5.036 -4.691 0.000
5.036 4.691 0.000
-1.424 0.000 5.096
Li Si Bi O
2 4 2 12
Direct
0.089 0.911 0.750
0.911 0.089 0.250
0.193 0.375 0.732
0.375 0.193 0.232
0.625 0.807 0.768
0.807 0.625 0.268
0.272 0.728 0.250
0.728 0.272 0.750
0.022 0.208 0.646
0.117 0.601 0.821
0.208 0.022 0.146
0.318 0.361 0.487
0.361 0.318 0.987
0.399 0.883 0.679
0.601 0.117 0.321
0.639 0.682 0.013
0.682 0.639 0.513
0.792 0.978 0.854
0.883 0.399 0.179
0.978 0.792 0.354
```

The 6 most intense peaks (2θ = 15–90°), in order of rising 2θ:
2θ/deg  I/Imax
18.92  41
19.77  100
23.77  71
26.43  78
30.02  69
33.59  37